No. 1
Diffraction record for CuAsH. The powder diffractogram is theoretical, not measured: it uses a crystal structure in Alexandria, relaxed with GGA-PBE and λ = 1.5418 Å (Cu Kα).
No peak broadening, texture or thermal motion is included.

Principal peaks in the range 2θ = 10–80°, by angle:
| (hkl) | 2θ/deg | Rel. int. |
| --- | --- | --- |
| 0 1 1 | 20.04 | 20 |
| 0 0 2 | 25.60 | 20 |
| 1 1 1 | 29.96 | 100 |
| 0 2 0 | 31.13 | 19 |
| 1 2 0 | 38.45 | 49 |
| 1 0 3 | 45.07 | 30 |
| 1 2 2 | 46.78 | 17 |
| 1 1 3 | 47.91 | 19 |
| 2 1 1 | 49.61 | 33 |
| 0 2 3 | 50.57 | 19 |

Cell lengths 4.039, 5.746, 6.960 Å; angles 90.00, 90.00, 90.00 degrees
Space group P2_12_12_1 (No. 19)
One atom of each set of equivalent atoms:
Cu1 0.097 0.110 0.218
As1 0.073 0.559 0.616
H1 0.168 0.659 0.089


No. 2
Diffraction record for K4Cu3As4H2O16. The powder diffractogram is theoretical, not measured: it uses a crystal structure in Alexandria, relaxed with GGA-PBE and λ = 1.5418 Å (Cu Kα).
No peak broadening, texture or thermal motion is included.

Principal peaks in the range 2θ = 10–80°, by angle:
| (hkl) | 2θ/deg | Rel. int. |
| --- | --- | --- |
| 1 0 0 | 10.54 | 100 |
| 0 2 1 | 19.94 | 50 |
| 1 0 2 | 27.47 | 60 |
| 0 3 1 | 27.74 | 69 |
| 3 0 -2 | 28.64 | 28 |
| 2 1 -3 | 29.46 | 35 |
| 3 1 -1 | 29.78 | 29 |
| 1 3 1 | 31.51 | 98 |
| 2 2 -3 | 33.13 | 37 |
| 3 2 -2 | 33.52 | 28 |

Cell lengths 9.535, 10.404, 9.772 Å; angles 90.00, 118.35, 90.00 degrees
Space group P2_1/c (No. 14)
One atom of each set of equivalent atoms:
K1 0.100 0.126 0.162
K2 0.241 0.004 0.683
Cu1 0.379 0.658 0.621
Cu2 0.500 0.000 0.500
As1 0.184 0.665 0.812
As2 0.401 0.208 0.046
H1 0.121 0.198 0.876
O1 0.010 0.140 0.728
O2 0.181 0.650 0.633
O3 0.198 0.250 0.477
O4 0.250 0.684 0.391
O5 0.283 0.538 0.935
O6 0.418 0.193 0.878
O7 0.446 0.079 0.163
O8 0.496 0.149 0.641


No. 3
Diffraction record for LaCuAsH2. The powder diffractogram is theoretical, not measured: it uses a crystal structure in Alexandria, relaxed with GGA-PBE and λ = 1.5418 Å (Cu Kα).
No peak broadening, texture or thermal motion is included.

Principal peaks in the range 2θ = 10–80°, by angle:
| (hkl) | 2θ/deg | Rel. int. |
| --- | --- | --- |
| 0 0 1 | 17.69 | 47 |
| 1 0 1 | 28.40 | 63 |
| 1 1 0 | 31.37 | 100 |
| 1 1 1 | 36.24 | 32 |
| 1 0 2 | 42.45 | 76 |
| 2 0 0 | 44.96 | 38 |
| 2 0 1 | 48.67 | 14 |
| 2 1 1 | 54.04 | 21 |
| 2 1 2 | 63.55 | 45 |
| 3 1 0 | 74.39 | 16 |

Cell lengths 4.033, 4.033, 5.015 Å; angles 90.00, 90.00, 90.00 degrees
Space group P4mm (No. 99)
One atom of each set of equivalent atoms:
La1 0.000 0.000 0.000
Cu1 0.500 0.500 0.315
As1 0.500 0.500 0.806
H1 0.000 0.500 0.292